[1]
# Sm6YEr2
Simulated X-ray diffraction stick pattern, Cu Ka. Input: DFT lattice parameters and positions (GGA-PBE).

Atomic structure:
```
Sm6YEr2
1.0
3.6000 0.0000 0.0000
-0.0124 8.8081 0.0000
-1.7918 -0.0223 9.3311
Sm Y Er
6 1 2
Direct
0.1100 0.1656 0.2189
0.2212 0.8339 0.4421
0.3335 0.5003 0.6683
0.6665 0.4997 0.3317
0.7788 0.1661 0.5579
0.8900 0.8344 0.7811
0.0000 0.5000 0.0000
0.4448 0.1666 0.8898
0.5552 0.8334 0.1102
```

Peak list (10 most intense, 2θ from 10° to 80°, low angle first)
| 2θ/deg | I (rel.) |
| --- | --- |
| 30.45 | 100.0 |
| 35.26 | 34.0 |
| 35.37 | 16.7 |
| 50.76 | 24.0 |
| 50.83 | 12.0 |
| 60.32 | 25.1 |
| 60.45 | 17.7 |
| 63.36 | 12.3 |
| 74.50 | 1.9 |
| 74.65 | 1.9 |

[2]
# Rb2TlRhI6
Simulated X-ray diffraction stick pattern, Cu Ka. Input: DFT lattice parameters and positions (GGA-PBE).

Atomic structure:
```
Rb2TlRhI6
1.0
4.3358 2.5033 6.4935
-4.3358 2.5033 6.4935
0.0000 -5.0065 6.4935
Rb Tl Rh I
2 1 1 6
Direct
0.2481 0.2481 0.2481
0.7519 0.7519 0.7519
0.5000 0.5000 0.5000
0.0000 0.0000 0.0000
0.1518 0.2936 0.7953
0.2047 0.8482 0.7064
0.2936 0.7953 0.1518
0.7064 0.2047 0.8482
0.7953 0.1518 0.2936
0.8482 0.7064 0.2047
```

Peak list (10 most intense, 2θ from 10° to 80°, low angle first)
| 2θ/deg | I (rel.) |
| --- | --- |
| 14.90 | 66.4 |
| 21.75 | 18.4 |
| 24.69 | 56.5 |
| 25.42 | 23.1 |
| 30.05 | 100.0 |
| 31.86 | 37.0 |
| 34.51 | 21.0 |
| 36.64 | 24.0 |
| 44.34 | 34.4 |
| 56.68 | 27.8 |

[3]
# V3Ga4Ni
Simulated X-ray diffraction stick pattern, Cu Ka. Input: DFT lattice parameters and positions (GGA-PBE).

Atomic structure:
```
V3Ga4Ni
1.0
8.4953 0.0000 0.0000
0.0000 5.2760 0.0000
0.0000 0.0000 4.9951
V Ga Ni
6 8 2
Direct
0.0000 0.1789 0.0000
0.2441 0.6189 0.6905
0.2559 0.3811 0.1905
0.5000 0.8211 0.5000
0.7441 0.3811 0.1905
0.7559 0.6189 0.6905
0.0000 0.3789 0.4846
0.0000 0.6596 0.0126
0.2381 0.8840 0.2244
0.2619 0.1160 0.7244
0.5000 0.3404 0.5126
0.5000 0.6211 0.9846
0.7381 0.1160 0.7244
0.7619 0.8840 0.2244
0.0000 0.8929 0.5588
0.5000 0.1071 0.0588
```

Peak list (10 most intense, 2θ from 10° to 80°, low angle first)
| 2θ/deg | I (rel.) |
| --- | --- |
| 35.96 | 7.8 |
| 38.60 | 38.2 |
| 41.96 | 80.8 |
| 42.57 | 46.1 |
| 44.30 | 100.0 |
| 58.80 | 20.3 |
| 66.39 | 16.2 |
| 71.53 | 7.3 |
| 77.49 | 11.2 |
| 79.13 | 16.6 |

[4]
# Rb4Al2S5
Simulated X-ray diffraction stick pattern, Cu Ka. Input: DFT lattice parameters and positions (GGA-PBE).

Atomic structure:
```
Rb4Al2S5
1.0
11.6988 0.0000 0.0000
0.0000 11.7047 0.0000
0.0000 0.0000 9.7200
Rb Al S
16 8 20
Direct
0.0232 0.1096 0.0000
0.0550 0.5747 0.4836
0.2449 0.0715 0.6302
0.2460 0.3873 0.7432
0.2540 0.8873 0.2432
0.2551 0.5715 0.1302
0.4450 0.0747 0.9836
0.4768 0.6096 0.5000
0.5232 0.3904 0.0000
0.5550 0.9253 0.4836
0.7449 0.4285 0.6302
0.7460 0.1127 0.7432
0.7540 0.6127 0.2432
0.7551 0.9285 0.1302
0.9450 0.4253 0.9836
0.9768 0.8904 0.5000
0.0403 0.7777 0.9497
0.2486 0.7375 0.7689
0.2514 0.2375 0.2689
0.4597 0.2777 0.4497
0.5403 0.7223 0.9497
0.7486 0.7625 0.7689
0.7514 0.2625 0.2689
0.9597 0.2223 0.4497
0.0089 0.7425 0.1711
0.0926 0.6231 0.8202
0.1016 0.1239 0.3394
0.2044 0.8875 0.9106
0.2408 0.2856 0.0490
0.2592 0.7856 0.5490
0.2956 0.3875 0.4106
0.3984 0.6239 0.8394
0.4074 0.1231 0.3202
0.4911 0.2425 0.6711
0.5089 0.7575 0.1711
0.5926 0.8769 0.8202
0.6016 0.3761 0.3394
0.7044 0.6125 0.9106
0.7408 0.2144 0.0490
0.7592 0.7144 0.5490
0.7956 0.1125 0.4106
0.8984 0.8761 0.8394
0.9074 0.3769 0.3202
0.9911 0.2575 0.6711
```

Peak list (10 most intense, 2θ from 10° to 80°, low angle first)
| 2θ/deg | I (rel.) |
| --- | --- |
| 23.80 | 42.7 |
| 25.76 | 24.6 |
| 27.48 | 22.1 |
| 28.59 | 25.4 |
| 29.00 | 100.0 |
| 29.61 | 30.7 |
| 30.56 | 29.4 |
| 36.03 | 14.1 |
| 36.88 | 12.2 |
| 48.63 | 16.3 |